(1)
For CuSbPbS3, a DFT-relaxed cell (PBE, OQMD) gives the calculated powder X-ray diffraction pattern in this record (Cu Kα X-rays).
Neutral-atom scattering factors, no anomalous dispersion.

Most intense lines, 10° ≤ 2θ ≤ 80°, low angle first:
2θ/deg	I_rel
22.6	30
22.9	40
29.7	28
31.5	32
32.4	100
33.1	45
34.3	31
45.2	25
48.6	25
51.2	41

Lattice parameters (Å, degrees): 7.862 8.223 8.831 90.00 90.00 90.00
Fractional positions:
1 Cu 0.242 0.221 0.000
2 Cu 0.258 0.779 0.500
3 Cu 0.742 0.779 0.500
4 Cu 0.758 0.221 0.000
5 Sb 0.000 0.572 0.129
6 Sb 0.000 0.992 0.735
7 Sb 0.500 0.008 0.235
8 Sb 0.500 0.428 0.629
9 Pb 0.000 0.058 0.255
10 Pb 0.000 0.428 0.575
11 Pb 0.500 0.572 0.075
12 Pb 0.500 0.942 0.755
13 S 0.000 0.262 0.860
14 S 0.000 0.731 0.370
15 S 0.234 0.062 0.557
16 S 0.237 0.390 0.213
17 S 0.263 0.610 0.713
18 S 0.266 0.938 0.057
19 S 0.500 0.269 0.870
20 S 0.500 0.738 0.360
21 S 0.734 0.938 0.057
22 S 0.737 0.610 0.713
23 S 0.763 0.390 0.213
24 S 0.766 0.062 0.557

(2)
For CsKReSe2S, a DFT-relaxed cell (PBE, OQMD) gives the calculated powder X-ray diffraction pattern in this record (Cu Kα X-rays).
Neutral-atom scattering factors, no anomalous dispersion.

Most intense lines, 10° ≤ 2θ ≤ 80°, low angle first:
2θ/deg	I_rel
11.0	31
14.7	46
14.9	48
15.2	32
23.4	43
25.1	100
26.2	43
26.4	44
40.2	31
47.9	36

Lattice parameters (Å, degrees): 7.103 7.996 8.742 76.62 67.26 64.11
Fractional positions:
1 Cs 0.192 0.409 0.186
2 Cs 0.808 0.591 0.814
3 K 0.400 0.810 0.365
4 K 0.600 0.190 0.635
5 Re 0.115 0.943 0.844
6 Re 0.885 0.057 0.156
7 Se 0.128 0.165 0.610
8 Se 0.315 0.630 0.762
9 Se 0.685 0.370 0.238
10 Se 0.872 0.835 0.390
11 S 0.247 0.005 0.013
12 S 0.753 0.995 0.987

(3)
For Re2Ir2O5, a DFT-relaxed cell (PBE, OQMD) gives the calculated powder X-ray diffraction pattern in this record (Cu Kα X-rays).
Neutral-atom scattering factors, no anomalous dispersion.

Most intense lines, 10° ≤ 2θ ≤ 80°, low angle first:
2θ/deg	I_rel
10.3	39
33.9	100
38.0	66
41.5	31
49.9	22
50.4	44
54.8	32
66.1	30
77.7	26
77.9	20

Lattice parameters (Å, degrees): 3.349 3.349 8.603 90.00 90.00 90.00
Fractional positions:
1 Re 0.000 0.000 0.160
2 Re 0.000 0.000 0.840
3 Ir 0.500 0.500 0.000
4 Ir 0.500 0.500 0.500
5 O 0.000 0.000 0.500
6 O 0.000 0.500 0.283
7 O 0.000 0.500 0.717
8 O 0.500 0.000 0.283
9 O 0.500 0.000 0.717

(4)
For TaCd3I6, a DFT-relaxed cell (PBE, OQMD) gives the calculated powder X-ray diffraction pattern in this record (Cu Kα X-rays).
Neutral-atom scattering factors, no anomalous dispersion.

Most intense lines, 10° ≤ 2θ ≤ 80°, low angle first:
2θ/deg	I_rel
14.0	31
17.8	21
26.8	85
33.0	100
41.5	12
43.0	38
51.4	25
55.2	29
69.2	13
72.5	14

Lattice parameters (Å, degrees): 7.285 7.285 8.148 90.00 90.00 120.00
Fractional positions:
1 Ta 0.000 0.000 0.000
2 Cd 0.000 0.000 0.500
3 Cd 0.333 0.667 0.500
4 Cd 0.667 0.333 0.500
5 I 0.000 0.303 0.793
6 I 0.000 0.697 0.207
7 I 0.303 0.000 0.793
8 I 0.303 0.303 0.207
9 I 0.697 0.000 0.207
10 I 0.697 0.697 0.793

(5)
For SmGdFe2Sn, a DFT-relaxed cell (PBE, OQMD) gives the calculated powder X-ray diffraction pattern in this record (Cu Kα X-rays).
Neutral-atom scattering factors, no anomalous dispersion.

Most intense lines, 10° ≤ 2θ ≤ 80°, low angle first:
2θ/deg	I_rel
29.8	40
33.1	100
34.4	76
37.9	26
39.5	36
46.4	22
46.7	22
56.7	16
59.1	32
62.8	18

Lattice parameters (Å, degrees): 3.890 3.910 14.054 90.00 90.00 90.00
Fractional positions:
1 Sm 0.000 0.000 0.000
2 Sm 0.000 0.500 0.500
3 Gd 0.000 0.000 0.268
4 Gd 0.000 0.500 0.768
5 Fe 0.500 0.000 0.429
6 Fe 0.500 0.000 0.837
7 Fe 0.500 0.500 0.337
8 Fe 0.500 0.500 0.929
9 Sn 0.500 0.000 0.635
10 Sn 0.500 0.500 0.135

(6)
For Ta4AsPN2, a DFT-relaxed cell (PBE, OQMD) gives the calculated powder X-ray diffraction pattern in this record (Cu Kα X-rays).
Neutral-atom scattering factors, no anomalous dispersion.

Most intense lines, 10° ≤ 2θ ≤ 80°, low angle first:
2θ/deg	I_rel
15.0	10
30.3	11
31.7	28
32.6	23
39.2	100
46.1	10
56.4	27
57.0	10
70.9	18
75.7	15

Lattice parameters (Å, degrees): 3.263 3.263 11.813 90.00 90.00 120.00
Fractional positions:
1 Ta 0.000 0.000 0.144
2 Ta 0.000 0.000 0.856
3 Ta 0.333 0.667 0.337
4 Ta 0.333 0.667 0.663
5 As 0.000 0.000 0.500
6 P 0.333 0.667 0.000
7 N 0.667 0.333 0.246
8 N 0.667 0.333 0.754

(7)
For GdDyBi4Au2, a DFT-relaxed cell (PBE, OQMD) gives the calculated powder X-ray diffraction pattern in this record (Cu Kα X-rays).
Neutral-atom scattering factors, no anomalous dispersion.

Most intense lines, 10° ≤ 2θ ≤ 80°, low angle first:
2θ/deg	I_rel
32.9	100
36.6	13
38.9	42
46.3	5
54.5	22
56.3	14
63.6	8
66.7	28
69.0	8
70.5	5

Lattice parameters (Å, degrees): 4.625 4.625 9.811 90.00 90.00 90.00
Fractional positions:
1 Gd 0.000 0.000 0.000
2 Dy 0.500 0.500 0.543
3 Bi 0.000 0.000 0.570
4 Bi 0.000 0.500 0.272
5 Bi 0.500 0.000 0.272
6 Bi 0.500 0.500 0.969
7 Au 0.000 0.500 0.768
8 Au 0.500 0.000 0.768

(8)
For Sr2NdPdPt2Pb3, a DFT-relaxed cell (PBE, OQMD) gives the calculated powder X-ray diffraction pattern in this record (Cu Kα X-rays).
Neutral-atom scattering factors, no anomalous dispersion.

Most intense lines, 10° ≤ 2θ ≤ 80°, low angle first:
2θ/deg	I_rel
21.8	42
31.0	36
31.2	91
33.7	100
33.9	79
38.5	39
40.5	27
40.7	34
44.4	37
57.0	25

Lattice parameters (Å, degrees): 4.083 8.055 8.055 119.38 90.00 90.00
Fractional positions:
1 Sr 0.000 0.204 0.796
2 Sr 0.000 0.796 0.204
3 Nd 0.000 0.614 0.614
4 Pd 0.000 0.215 0.215
5 Pt 0.500 0.541 0.851
6 Pt 0.500 0.851 0.541
7 Pb 0.500 0.203 0.463
8 Pb 0.500 0.463 0.203
9 Pb 0.500 0.949 0.949